Record 1
The following is a theoretical PXRD pattern of Pm3Y2Ho6Er. It was derived from a cell relaxed with GGA-PBE, using Cu Kα.
Peak positions follow from Bragg's law for the DFT cell and can differ from measured ones.

The 11 most intense peaks (2θ from 10° to 80°), by angle:
15.3°, I = 14
29.4°, I = 9
30.7°, I = 1000
35.7°, I = 505
51.3°, I = 180
51.4°, I = 178
61.0°, I = 249
61.1°, I = 177
64.0°, I = 92
64.2°, I = 30
75.5°, I = 57

Cell and atoms:
```
Pm3Y2Ho6Er
1.0
3.088 -5.345 0.000
3.088 5.345 0.000
-2.050 0.000 11.610
Pm Y Ho Er
3 2 6 1
direct
0.000 0.000 0.000
0.333 0.667 0.000
0.667 0.333 0.000
0.167 0.833 0.500
0.833 0.167 0.500
0.085 0.417 0.252
0.250 0.250 0.748
0.417 0.085 0.252
0.583 0.915 0.748
0.750 0.750 0.252
0.915 0.583 0.748
0.500 0.500 0.500
```

=====

Record 2
The following is a theoretical PXRD pattern of Pr4HoEr5. It was derived from a cell relaxed with GGA-PBE, using Cu Kα.
Peak positions follow from Bragg's law for the DFT cell and can differ from measured ones.

The 12 most intense peaks (2θ from 10° to 80°), by angle:
29.2°, I = 1000
30.1°, I = 133
32.4°, I = 124
34.5°, I = 214
35.5°, I = 435
47.2°, I = 117
48.8°, I = 115
51.1°, I = 131
52.9°, I = 164
59.1°, I = 133
59.9°, I = 176
74.0°, I = 101

Cell and atoms:
```
Pr4HoEr5
1.0
-5.364 5.364 2.970
5.364 -5.364 2.970
5.364 5.364 -2.970
Pr Ho Er
4 1 5
direct
0.000 0.323 0.323
0.000 0.677 0.677
0.323 0.000 0.323
0.677 0.000 0.677
0.242 0.242 0.000
0.314 0.314 0.623
0.314 0.691 0.000
0.691 0.314 0.000
0.691 0.691 0.377
0.763 0.763 0.000
```

=====

Record 3
The following is a theoretical PXRD pattern of Pr8Ho3Er2. It was derived from a cell relaxed with GGA-PBE, using Cu Kα.
Peak positions follow from Bragg's law for the DFT cell and can differ from measured ones.

The 12 most intense peaks (2θ from 10° to 80°), by angle:
24.5°, I = 485
29.1°, I = 858
30.5°, I = 674
31.0°, I = 895
32.9°, I = 1000
32.9°, I = 988
34.9°, I = 227
35.1°, I = 221
39.9°, I = 271
56.3°, I = 428
63.3°, I = 221
66.4°, I = 231

Cell and atoms:
```
Pr8Ho3Er2
1.0
10.222 -3.882 0.000
10.222 3.882 0.000
-0.002 0.000 5.774
Pr Ho Er
8 3 2
direct
0.098 0.690 0.000
0.174 0.174 0.501
0.310 0.902 0.000
0.369 0.369 0.500
0.631 0.631 0.500
0.690 0.098 0.000
0.826 0.826 0.499
0.902 0.310 0.000
0.214 0.786 0.500
0.500 0.500 0.000
0.786 0.214 0.500
0.261 0.261 0.001
0.739 0.739 0.999
```

=====

Record 4
The following is a theoretical PXRD pattern of Pr4HoEr3. It was derived from a cell relaxed with GGA-PBE, using Cu Kα.
Peak positions follow from Bragg's law for the DFT cell and can differ from measured ones.

The 12 most intense peaks (2θ from 10° to 80°), by angle:
30.3°, I = 1000
35.1°, I = 341
35.2°, I = 165
36.2°, I = 15
50.4°, I = 122
50.5°, I = 237
57.8°, I = 6
60.0°, I = 289
60.2°, I = 136
63.0°, I = 122
74.1°, I = 39
74.5°, I = 17

Cell and atoms:
```
Pr4HoEr3
1.0
5.119 0.000 0.000
0.000 10.237 0.000
0.000 0.000 10.193
Pr Ho Er
8 2 6
direct
0.250 0.000 0.130
0.250 0.250 0.869
0.250 0.500 0.130
0.250 0.750 0.869
0.750 0.000 0.870
0.750 0.250 0.131
0.750 0.500 0.870
0.750 0.750 0.131
0.250 0.250 0.382
0.750 0.750 0.618
0.250 0.000 0.618
0.250 0.500 0.618
0.250 0.750 0.382
0.750 0.000 0.382
0.750 0.250 0.618
0.750 0.500 0.382
```

=====

Record 5
The following is a theoretical PXRD pattern of Pr2Ho9Er3. It was derived from a cell relaxed with GGA-PBE, using Cu Kα.
Peak positions follow from Bragg's law for the DFT cell and can differ from measured ones.

The 11 most intense peaks (2θ from 10° to 80°), by angle:
30.9°, I = 1000
35.8°, I = 338
35.9°, I = 168
51.5°, I = 300
51.6°, I = 60
61.3°, I = 250
61.4°, I = 178
64.3°, I = 31
64.4°, I = 92
75.8°, I = 38
76.0°, I = 19

Cell and atoms:
```
Pr2Ho9Er3
1.0
6.145 0.000 0.000
-3.070 8.856 0.000
-1.039 -4.590 8.110
Pr Ho Er
2 9 3
direct
0.000 0.000 0.000
0.144 0.145 0.432
0.286 0.785 0.359
0.288 0.289 0.860
0.431 0.433 0.289
0.572 0.072 0.216
0.572 0.573 0.716
0.713 0.712 0.144
0.717 0.217 0.648
0.856 0.856 0.573
0.858 0.360 0.074
0.001 0.503 0.503
0.143 0.643 0.930
0.428 0.928 0.785
```

=====

Record 6
The following is a theoretical PXRD pattern of Pr7Ho4Er. It was derived from a cell relaxed with GGA-PBE, using Cu Kα.
Peak positions follow from Bragg's law for the DFT cell and can differ from measured ones.

The 12 most intense peaks (2θ from 10° to 80°), by angle:
28.3°, I = 364
28.9°, I = 162
30.5°, I = 505
31.3°, I = 1000
32.9°, I = 889
49.7°, I = 260
49.8°, I = 129
53.6°, I = 215
56.8°, I = 128
59.5°, I = 304
59.6°, I = 151
61.0°, I = 152

Cell and atoms:
```
Pr7Ho4Er
1.0
6.355 0.000 0.000
0.003 7.320 0.000
2.106 0.007 8.785
Pr Ho Er
7 4 1
direct
0.000 0.000 0.000
0.221 0.500 0.335
0.280 0.751 0.666
0.498 0.248 0.998
0.502 0.752 0.002
0.720 0.249 0.334
0.779 0.500 0.665
0.220 0.000 0.336
0.277 0.247 0.668
0.723 0.753 0.332
0.780 0.000 0.664
0.000 0.500 0.000
```